For ZrSeS2, a structure optimized by DFT (GGA-PBE) gives the calculated powder diffractogram in this record (copper Kα).

Structure:
```
data_ZrSeS2
_chemical_formula_sum 'Zr2 Se2 S4'
_cell_length_a 5.408
_cell_length_b 3.702
_cell_length_c 9.546
_cell_angle_alpha 90.00
_cell_angle_beta 97.39
_cell_angle_gamma 90.00
_symmetry_space_group_name_H-M 'P 1'
_symmetry_Int_Tables_number 1
loop_
_symmetry_equiv_pos_as_xyz
'x,y,z'
loop_
_atom_site_label
_atom_site_fract_x
_atom_site_fract_y
_atom_site_fract_z
Zr1 0.214 0.250 0.342
Zr2 0.786 0.750 0.658
Se1 0.263 0.750 0.557
Se2 0.737 0.250 0.443
S1 0.017 0.250 0.820
S2 0.367 0.750 0.177
S3 0.633 0.250 0.823
S4 0.983 0.750 0.180
```

The 12 most intense peaks (5° ≤ 2θ ≤ 70°), in order of rising 2θ:
- 9.34°, intensity 100.0, hkl 0 0 1
- 17.93°, intensity 12.6, hkl 1 0 -1
- 20.05°, intensity 10.0, hkl 1 0 1
- 30.66°, intensity 51.6, hkl 0 1 2
- 33.41°, intensity 10.0, hkl 2 0 0
- 33.54°, intensity 10.1, hkl 2 0 -1
- 36.21°, intensity 10.2, hkl 1 1 2
- 39.59°, intensity 19.2, hkl 1 1 -3
- 42.73°, intensity 12.3, hkl 1 1 3
- 43.73°, intensity 15.7, hkl 1 0 4
- 44.03°, intensity 9.7, hkl 2 1 -2
- 49.23°, intensity 10.2, hkl 0 2 0